(1)
Starting from a DFT-relaxed cell (GGA-PBE, the Materials Project), the powder diffraction line list of Ti4In2CoNi was simulated for Cu Kα X-rays.

The 10 most intense peaks (10 to 90 degrees two-theta), most intense first:
| index | 2θ (°) | Rel. int. |
| --- | --- | --- |
| 1 1 0 | 39.69 | 100 |
| 3 0 0 | 72.02 | 31 |
| 2 0 8 | 57.38 | 16 |
| 1 0 4 | 27.78 | 12 |
| 2 2 0 | 85.51 | 10 |
| 0 0 6 | 24.00 | 9 |
| 2 1 4 | 64.92 | 5 |
| 1 1 6 | 46.91 | 5 |
| 0 2 4 | 49.13 | 4 |
| 0 1 14 | 63.08 | 2 |

Cell and atoms:
Cell: 4.5431 4.5431 22.2431 Å, 90.00 90.00 120.00°
Space group R-3m (No. 166, hexagonal axes)
Inequivalent atoms, fractional coordinates:
1 Ti 0.0000 0.0000 0.1249 (multiplicity 6)
2 Ti 0.0000 0.0000 0.3750 (multiplicity 6)
3 In 0.0000 0.0000 0.2501 (multiplicity 6)
4 Co 0.0000 0.0000 0.0000 (multiplicity 3)
5 Ni 0.0000 0.0000 0.5000 (multiplicity 3)

***

(2)
Starting from a DFT-relaxed cell (GGA-PBE, the Materials Project), the powder diffraction line list of Cs3Sb5S9 was simulated for Cu Kα X-rays.

The 10 most intense peaks (10 to 90 degrees two-theta), most intense first:
| index | 2θ (°) | Rel. int. |
| --- | --- | --- |
| 2 0 -2 | 23.47 | 100 |
| 2 2 0 | 20.94 | 90 |
| 2 6 -2 | 31.53 | 87 |
| 1 7 -1 | 27.04 | 69 |
| 0 2 2 | 20.80 | 55 |
| 1 5 2 | 30.08 | 51 |
| 2 0 2 | 31.91 | 49 |
| 0 0 3 | 29.58 | 38 |
| 2 12 0 | 47.09 | 34 |
| 4 0 -4 | 47.93 | 31 |

Cell and atoms:
Cell: 9.4004 25.6216 9.4785 Å, 90.00 107.08 90.00°
Space group C2/m (No. 12)
Inequivalent atoms, fractional coordinates:
1 Cs 0.0000 0.0817 0.0000 (multiplicity 4)
2 Cs 0.2409 0.2848 0.2689 (multiplicity 8)
3 Sb 0.0000 0.0727 0.5000 (multiplicity 4)
4 Sb 0.0000 0.4210 0.0000 (multiplicity 4)
5 Sb 0.1062 0.5000 0.3630 (multiplicity 4)
6 Sb 0.1569 0.3778 0.6630 (multiplicity 8)
7 S 0.0000 0.3085 0.5000 (multiplicity 4)
8 S 0.1026 0.1555 0.3337 (multiplicity 8)
9 S 0.1203 0.0000 0.3789 (multiplicity 4)
10 S 0.1223 0.5000 0.8719 (multiplicity 4)
11 S 0.1488 0.3423 0.9011 (multiplicity 8)
12 S 0.2237 0.4249 0.2721 (multiplicity 8)

***

(3)
Starting from a DFT-relaxed cell (GGA-PBE, the Materials Project), the powder diffraction line list of SmP3H5NO10 was simulated for Cu Kα X-rays.

The 10 most intense peaks (10 to 90 degrees two-theta), most intense first:
| index | 2θ (°) | Rel. int. |
| --- | --- | --- |
| 0 0 1 | 10.95 | 100 |
| 1 2 2 | 27.73 | 36 |
| 2 0 0 | 26.35 | 18 |
| 0 1 1 | 13.89 | 18 |
| 1 -2 0 | 27.95 | 15 |
| 2 0 2 | 29.86 | 12 |
| 2 0 1 | 25.86 | 11 |
| 1 1 -1 | 23.59 | 11 |
| 0 1 0 | 11.82 | 10 |
| 0 1 -3 | 38.36 | 10 |

Cell and atoms:
Cell: 7.0582 7.8255 8.7123 Å, 73.47 73.82 82.12°
Space group P-1 (No. 2)
Inequivalent atoms, fractional coordinates:
1 Sm 0.2295 0.1298 0.0075 (multiplicity 2)
2 P 0.1497 0.5374 0.1344 (multiplicity 2)
3 P 0.3263 0.8074 0.8402 (multiplicity 2)
4 P 0.3315 0.7279 0.3078 (multiplicity 2)
5 H 0.1274 0.2269 0.4397 (multiplicity 2)
6 H 0.1387 0.1108 0.6339 (multiplicity 2)
7 H 0.1799 0.3265 0.5699 (multiplicity 2)
8 H 0.3104 0.6985 0.5724 (multiplicity 2)
9 H 0.3493 0.1864 0.4816 (multiplicity 2)
10 N 0.1986 0.2109 0.5316 (multiplicity 2)
11 O 0.0407 0.3500 0.8411 (multiplicity 2)
12 O 0.1306 0.9250 0.8705 (multiplicity 2)
13 O 0.1416 0.3372 0.1713 (multiplicity 2)
14 O 0.2033 0.8937 0.2523 (multiplicity 2)
15 O 0.2581 0.6432 0.5001 (multiplicity 2)
16 O 0.2809 0.6017 0.9472 (multiplicity 2)
17 O 0.2823 0.5639 0.2472 (multiplicity 2)
18 O 0.4076 0.7968 0.6631 (multiplicity 2)
19 O 0.4475 0.2558 0.7482 (multiplicity 2)
20 O 0.4633 0.8721 0.9190 (multiplicity 2)

***

(4)
Starting from a DFT-relaxed cell (GGA-PBE, the Materials Project), the powder diffraction line list of CrNi was simulated for Cu Kα X-rays.

The 8 most intense peaks (10 to 90 degrees two-theta), most intense first:
| index | 2θ (°) | Rel. int. |
| --- | --- | --- |
| 0 1 2 | 44.48 | 100 |
| 1 0 4 | 51.59 | 62 |
| 0 0 6 | 43.64 | 35 |
| 0 1 8 | 75.35 | 18 |
| 1 1 0 | 76.55 | 17 |
| 0 0 3 | 21.42 | 2 |
| 1 0 1 | 42.57 | 1 |
| 0 1 5 | 56.48 | 1 |

Cell and atoms:
Cell: 2.4890 2.4890 12.4434 Å, 90.00 90.00 120.00°
Space group R-3m (No. 166, hexagonal axes)
Inequivalent atoms, fractional coordinates:
1 Cr 0.0000 0.0000 0.0000 (multiplicity 3)
2 Ni 0.0000 0.0000 0.5000 (multiplicity 3)